Record 1
This entry pairs a crystal structure of Nd6Te2P3 with its computed X-ray diffraction stick pattern. Radiation: Cu Kα (λ = 1.5418 Å). Structure: a PBE-relaxed structure.
Kinematic intensities with the Lorentz-polarization factor, no thermal factor.

Cell lengths 7.279, 7.279, 7.713 Å; angles 99.11, 99.11, 119.94 degrees
Atoms (fractional coordinates):
Nd (0.068, 0.405, 0.214)
Nd (0.259, 0.259, 0.791)
Nd (0.405, 0.068, 0.214)
Nd (0.595, 0.932, 0.786)
Nd (0.741, 0.741, 0.209)
Nd (0.932, 0.595, 0.786)
Te (0.166, 0.834, 0.500)
Te (0.834, 0.166, 0.500)
P (0.000, 0.000, 0.000)
P (0.331, 0.669, 0.000)
P (0.669, 0.331, 0.000)

The 12 most intense peaks (2θ from 10° to 80°), by angle:
- 2θ = 24.33°, I 7
- 2θ = 25.78°, I 27
- 2θ = 29.44°, I 100
- 2θ = 31.93°, I 15
- 2θ = 36.86°, I 7
- 2θ = 41.20°, I 32
- 2θ = 43.03°, I 38
- 2θ = 53.00°, I 19
- 2θ = 57.92°, I 11
- 2θ = 60.44°, I 8
- 2θ = 70.54°, I 11
- 2θ = 77.62°, I 10

***

Record 2
This entry pairs a crystal structure of NaThZn10 with its computed X-ray diffraction stick pattern. Radiation: Cu Kα (λ = 1.5418 Å). Structure: a PBE-relaxed structure.
Kinematic intensities with the Lorentz-polarization factor, no thermal factor.

Cell lengths 4.270, 5.315, 9.392 Å; angles 90.00, 90.00, 90.00 degrees
Atoms (fractional coordinates):
Na (0.000, 0.000, 0.000)
Th (0.000, 0.500, 0.500)
Zn (0.000, 0.000, 0.314)
Zn (0.000, 0.000, 0.686)
Zn (0.000, 0.500, 0.156)
Zn (0.000, 0.500, 0.844)
Zn (0.500, 0.000, 0.500)
Zn (0.500, 0.259, 0.262)
Zn (0.500, 0.259, 0.738)
Zn (0.500, 0.500, 0.000)
Zn (0.500, 0.741, 0.262)
Zn (0.500, 0.741, 0.738)

The 12 most intense peaks (2θ from 10° to 80°), by angle:
- 2θ = 16.68°, I 22
- 2θ = 25.31°, I 18
- 2θ = 28.45°, I 37
- 2θ = 32.98°, I 25
- 2θ = 33.21°, I 25
- 2θ = 38.33°, I 19
- 2θ = 38.94°, I 31
- 2θ = 39.52°, I 100
- 2θ = 39.96°, I 49
- 2θ = 42.34°, I 43
- 2θ = 58.87°, I 18
- 2θ = 64.22°, I 22

***

Which formula does entry 2 have? NaThZn10